Tl3CuW2O9: simulated XRD peak list (CuKα), based on a crystal structure in Alexandria, relaxed with GGA+U.
Intensities are scaled so that the largest is 100.

Atomic structure:
a = 5.719 Å, b = 5.719 Å, c = 7.187 Å
α = 90.00°, β = 90.00°, γ = 120.00°
Element x y z (fractional)
1 Tl 0.000 0.000 0.000
2 Tl 0.333 0.667 0.657
3 Tl 0.667 0.333 0.343
4 Cu 0.000 0.000 0.500
5 W 0.333 0.667 0.173
6 W 0.667 0.333 0.827
7 O 0.000 0.500 0.000
8 O 0.172 0.344 0.312
9 O 0.172 0.828 0.312
10 O 0.344 0.172 0.688
11 O 0.500 0.000 0.000
12 O 0.500 0.500 0.000
13 O 0.656 0.828 0.312
14 O 0.828 0.172 0.688
15 O 0.828 0.656 0.688

Principal peaks in the range 2θ from 10° to 90°, in order of rising 2θ:
two_theta	intensity	h k l
30.7	100	0 1 2
31.3	94	1 1 0
44.4	52	2 0 2
54.3	20	1 0 4
55.3	40	1 2 2
55.7	19	3 0 0
64.0	16	0 2 4
65.3	16	2 2 0
73.0	17	2 1 4
73.8	19	3 1 2